LiMg6CoO8: calculated X-ray powder pattern (a wavelength of 1.5418 Å), based on a crystal structure in Alexandria, relaxed with GGA+U.

Structural model:
Cell: 4.1968 4.1968 8.5036 Å, 90.00 90.00 90.00°
Space group P4/mmm (No. 123)
Inequivalent atoms, fractional coordinates:
Li  0.0000  0.0000  0.0000 [1 per cell]
Mg  0.0000  0.0000  0.5000 [1 per cell]
Mg  0.0000  0.5000  0.2433 [4 per cell]
Mg  0.5000  0.5000  0.5000 [1 per cell]
Co  0.5000  0.5000  0.0000 [1 per cell]
O  0.0000  0.0000  0.2558 [2 per cell]
O  0.0000  0.5000  0.0000 [2 per cell]
O  0.0000  0.5000  0.5000 [2 per cell]
O  0.5000  0.5000  0.2356 [2 per cell]

Most intense lines, 2θ from 10° to 80°, low angle first:
2θ = 21.17°, 4.197 Å, I 18.2, (1 0 0); 2θ = 23.64°, 3.763 Å, I 32.4, (1 0 1); 2θ = 29.92°, 2.987 Å, I 15.5, (1 0 2); 2θ = 36.94°, 2.433 Å, I 21.3, (1 1 2); 2θ = 42.52°, 2.126 Å, I 51.1, (0 0 4); 2θ = 43.11°, 2.098 Å, I 100.0, (2 0 0); 2θ = 62.16°, 1.493 Å, I 55.9, (2 0 4); 2θ = 62.61°, 1.484 Å, I 27.9, (2 2 0); 2θ = 74.97°, 1.267 Å, I 8.6, (3 1 2); 2θ = 78.63°, 1.217 Å, I 25.1, (2 2 4)